Record 1
Structure and calculated powder diffraction line list of KAcOF2 (the PBE geometry in Alexandria; Cu Kα (λ = 1.5418 Å)).
Peak positions follow from Bragg's law for the DFT cell and can differ from measured ones.

Structural model:
Unit cell a=4.9613 b=4.9613 c=4.7416 alpha=90.00 beta=90.00 gamma=90.00
Sites, in units of the cell vectors:
1 K 0.0000 0.0000 0.0000
2 Ac 0.5000 0.5000 0.4531
3 O 0.5000 0.5000 0.9506
4 F 0.0000 0.5000 0.4272
5 F 0.5000 0.0000 0.4272

Peak list (10 most intense, 2θ = 10–90°, in order of falling intensity)
d [Å]	Position (°2θ)	I/Imax
3.428	25.99	100
4.961	17.88	78
3.508	25.39	51
2.010	45.12	47
4.742	18.71	38
2.481	36.21	36
2.198	41.06	22
1.714	53.46	22
2.219	40.66	21
1.964	46.22	20

---

Record 2
Structure and calculated powder diffraction line list of K2AcSmF8 (the PBE geometry in Alexandria; Cu Kα (λ = 1.5418 Å)).
Peak positions follow from Bragg's law for the DFT cell and can differ from measured ones.

Structural model:
Unit cell a=7.1749 b=7.1749 c=7.1749 alpha=130.25 beta=130.25 gamma=73.00
Sites, in units of the cell vectors:
1 K 0.0000 0.0000 0.0000
2 K 0.7500 0.2500 0.5000
3 Ac 0.5000 0.5000 0.0000
4 Sm 0.2500 0.7500 0.5000
5 F 0.1554 0.1090 0.5232
6 F 0.1554 0.6322 0.0464
7 F 0.3678 0.4142 0.5232
8 F 0.3678 0.8446 0.9536
9 F 0.5858 0.1090 0.9536
10 F 0.5858 0.6322 0.4768
11 F 0.8910 0.4142 0.0464
12 F 0.8910 0.8446 0.4768

Peak list (10 most intense, 2θ = 10–90°, in order of falling intensity)
d [Å]	Position (°2θ)	I/Imax
3.431	25.97	100
5.348	16.58	69
2.085	43.40	43
1.812	50.36	32
2.134	42.36	23
1.753	52.17	22
2.628	34.11	18
3.243	27.50	15
3.018	29.60	15
2.209	40.85	15